For KLi2HAuCl, DFT lattice parameters and positions (GGA-PBE) gives the computed XRD peak list in this record (Cu Ka).

Largest 10 diffraction maxima, by angle, 5 to 70 degrees two-theta:
- 14.86 deg, rel. 66
- 15.83 deg, rel. 100
- 16.79 deg, rel. 44
- 25.85 deg, rel. 33
- 26.63 deg, rel. 77
- 27.65 deg, rel. 55
- 28.98 deg, rel. 44
- 35.11 deg, rel. 55
- 39.59 deg, rel. 43
- 43.00 deg, rel. 31

Crystal structure
abc: 6.366 6.366 6.515
angles: 112.82 112.82 31.98
Positions (direct):
K1 0.000 0.000 0.000
Li1 0.360 0.360 0.426
Li2 0.727 0.727 0.582
H1 0.327 0.327 0.690
Au1 0.048 0.048 0.537
Cl1 0.731 0.731 0.209

For KLi2HAuCl, DFT lattice parameters and positions (GGA-PBE) gives the computed XRD peak list in this record (Cu Ka).

Largest 10 diffraction maxima, by angle, 5 to 70 degrees two-theta:
- 12.19 deg, rel. 78
- 22.34 deg, rel. 66
- 24.52 deg, rel. 24
- 25.53 deg, rel. 77
- 31.80 deg, rel. 54
- 33.41 deg, rel. 100
- 34.17 deg, rel. 34
- 40.56 deg, rel. 33
- 52.98 deg, rel. 23
- 57.69 deg, rel. 40

Crystal structure
abc: 3.979 3.979 7.260
angles: 90.00 90.00 90.00
Positions (direct):
K1 0.000 0.000 0.000
Li1 0.000 0.500 0.539
Li2 0.500 0.000 0.539
H1 0.000 0.000 0.544
Au1 0.500 0.500 0.274
Cl1 0.500 0.500 0.771

For KLi2HAuCl, DFT lattice parameters and positions (GGA-PBE) gives the computed XRD peak list in this record (Cu Ka).

Largest 10 diffraction maxima, by angle, 5 to 70 degrees two-theta:
- 9.34 deg, rel. 100
- 18.75 deg, rel. 22
- 27.03 deg, rel. 75
- 28.28 deg, rel. 22
- 31.68 deg, rel. 60
- 36.10 deg, rel. 29
- 37.37 deg, rel. 18
- 46.48 deg, rel. 22
- 59.55 deg, rel. 16
- 62.16 deg, rel. 17

Crystal structure
abc: 3.519 3.519 9.466
angles: 90.00 90.05 90.00
Positions (direct):
K1 0.000 0.000 0.000
Li1 0.502 0.500 0.286
Li2 0.997 0.000 0.599
H1 0.500 0.500 0.091
Au1 0.497 0.500 0.717
Cl1 0.001 0.000 0.352